Record 1
# PmNd2B9
Theoretical powder X-ray diffraction pattern, CuKα. Input: the GGA-PBE geometry in Alexandria.
Intensities are scaled so that the largest is 100.

Main lines, sorted by position (10 to 90 degrees two-theta):
index, 2θ (°), d_spacing, I/Imax
1 0 1, 23.11, 3.849, 100
0 1 2, 23.71, 3.753, 23
0 0 9, 27.32, 3.265, 24
1 0 7, 31.39, 2.850, 37
0 1 8, 33.59, 2.668, 72
1 0 10, 38.42, 2.343, 24
1 1 0, 40.24, 2.241, 46
0 2 1, 46.91, 1.937, 20
1 1 9, 49.32, 1.848, 41
1 2 8, 68.91, 1.363, 17

a b c (Å): 4.4826 4.4826 29.3844
angles (deg): 90.00 90.00 120.00
Space group R-3m (No. 166, hexagonal axes)
Asymmetric unit:
Pm1 0.0000 0.0000 0.0000 x3
Nd1 0.0000 0.0000 0.1173 x6
B1 0.0000 0.0000 0.3982 x6
B2 0.0000 0.0000 0.5000 x3
B3 0.0914 0.5457 0.9389 x18


Record 2
# PrNdB12
Theoretical powder X-ray diffraction pattern, CuKα. Input: the GGA-PBE geometry in Alexandria.
Intensities are scaled so that the largest is 100.

Main lines, sorted by position (10 to 90 degrees two-theta):
index, 2θ (°), d_spacing, I/Imax
2 0 0, 21.46, 4.141, 65
2 2 0, 30.53, 2.928, 100
2 2 2, 37.62, 2.391, 42
4 0 0, 43.72, 2.070, 21
4 2 0, 49.20, 1.852, 50
4 2 2, 54.26, 1.691, 27
4 4 2, 67.91, 1.380, 28
6 2 0, 72.13, 1.309, 20
6 2 2, 76.26, 1.249, 13
6 4 2, 88.31, 1.107, 18

a b c (Å): 8.282 8.282 8.282
angles (deg): 90.00 90.00 90.00
Space group Fm-3m (No. 225)
Asymmetric unit:
Pr1 0.000 0.000 0.000 x4
Nd1 0.000 0.000 0.500 x4
B1 0.100 0.250 0.250 x48


Record 3
# Pr2Nd2BRh4
Theoretical powder X-ray diffraction pattern, CuKα. Input: the GGA-PBE geometry in Alexandria.
Intensities are scaled so that the largest is 100.

Main lines, sorted by position (10 to 90 degrees two-theta):
index, 2θ (°), d_spacing, I/Imax
2 1 1, 31.46, 2.844, 10
2 0 2, 34.23, 2.620, 100
1 0 3, 35.14, 2.554, 16
2 2 0, 37.57, 2.394, 46
3 0 1, 41.47, 2.178, 9
0 0 4, 43.76, 2.068, 9
4 0 0, 54.18, 1.693, 14
2 2 4, 59.02, 1.565, 12
3 2 3, 59.56, 1.552, 13
4 2 2, 65.67, 1.422, 23

a b c (Å): 6.771 6.771 8.272
angles (deg): 90.00 90.00 90.00
Space group I4/mmm (No. 139)
Asymmetric unit:
Pr1 0.000 0.500 0.250 x4
Nd1 0.000 0.000 0.187 x4
B1 0.000 0.000 0.500 x2
Rh1 0.220 0.220 0.500 x8


Record 4
# NdBPt4
Theoretical powder X-ray diffraction pattern, CuKα. Input: the GGA-PBE geometry in Alexandria.
Intensities are scaled so that the largest is 100.

Main lines, sorted by position (10 to 90 degrees two-theta):
index, 2θ (°), d_spacing, I/Imax
1 0 0, 18.61, 4.768, 30
1 0 2, 29.79, 2.999, 35
1 1 1, 34.60, 2.593, 36
0 0 3, 34.89, 2.572, 43
2 0 0, 37.74, 2.384, 93
2 0 1, 39.57, 2.278, 32
1 1 2, 40.25, 2.241, 100
2 0 2, 44.69, 2.028, 52
2 2 0, 68.13, 1.376, 37
2 0 5, 73.04, 1.295, 33

a b c (Å): 5.5053 5.5053 7.7154
angles (deg): 90.00 90.00 120.00
Space group P6/mmm (No. 191)
Asymmetric unit:
Nd1 0.0000 0.0000 0.0000 x1
Nd2 0.0000 0.0000 0.5000 x1
B1 0.3333 0.6667 0.0000 x2
Pt1 0.0000 0.5000 0.1988 x6
Pt2 0.3333 0.6667 0.5000 x2


Record 5
# Nd3B2Pt9
Theoretical powder X-ray diffraction pattern, CuKα. Input: the GGA-PBE geometry in Alexandria.
Intensities are scaled so that the largest is 100.

Main lines, sorted by position (10 to 90 degrees two-theta):
index, 2θ (°), d_spacing, I/Imax
2 0 1, 33.55, 2.671, 33
2 0 2, 35.32, 2.541, 96
0 0 6, 37.70, 2.386, 53
2 0 3, 38.10, 2.362, 100
2 0 4, 41.72, 2.165, 56
2 0 5, 46.04, 1.972, 19
2 2 0, 58.83, 1.570, 42
2 0 8, 62.09, 1.495, 21
2 0 9, 68.32, 1.373, 19
2 2 6, 72.02, 1.311, 45

a b c (Å): 6.2783 6.2783 14.3172
angles (deg): 90.00 90.00 120.00
Space group P6_3/mmc (No. 194)
Asymmetric unit:
Nd1 0.0000 0.0000 0.2500 x2
Nd2 0.3333 0.6667 0.0817 x4
B1 0.3333 0.6667 0.6419 x4
Pt1 0.0194 0.5097 0.7500 x6
Pt2 0.1556 0.3113 0.5810 x12


Record 6
# Nd3ZnB2Pt9
Theoretical powder X-ray diffraction pattern, CuKα. Input: the GGA-PBE geometry in Alexandria.
Intensities are scaled so that the largest is 100.

Main lines, sorted by position (10 to 90 degrees two-theta):
index, 2θ (°), d_spacing, I/Imax
0 0 3, 28.71, 3.109, 36
0 1 3, 33.91, 2.644, 14
0 2 1, 37.06, 2.426, 100
2 0 2, 40.80, 2.212, 81
0 2 4, 53.63, 1.709, 15
0 2 5, 61.96, 1.498, 13
2 2 0, 64.21, 1.450, 25
2 2 3, 71.82, 1.314, 17
4 0 1, 76.51, 1.245, 14
0 4 2, 78.93, 1.213, 12

a b c (Å): 5.8018 5.8018 9.3272
angles (deg): 90.00 90.00 120.00
Space group P-3m1 (No. 164)
Asymmetric unit:
Nd1 0.0000 0.0000 0.0000 x1
Nd2 0.3333 0.6667 0.6101 x2
Zn1 0.0000 0.0000 0.5000 x1
B1 0.3333 0.6667 0.1503 x2
Pt1 0.0000 0.5000 0.0000 x3
Pt2 0.1653 0.3305 0.2869 x6


Record 7
# Nd2Re3B6
Theoretical powder X-ray diffraction pattern, CuKα. Input: the GGA-PBE geometry in Alexandria.
Intensities are scaled so that the largest is 100.

Main lines, sorted by position (10 to 90 degrees two-theta):
index, 2θ (°), d_spacing, I/Imax
1 1 2, 28.31, 3.153, 84
2 2 0, 31.13, 2.873, 20
2 2 -1, 33.16, 2.701, 100
0 4 0, 33.70, 2.660, 18
0 4 1, 35.76, 2.511, 51
1 1 -3, 38.55, 2.336, 36
3 1 1, 42.53, 2.126, 26
1 3 3, 46.12, 1.968, 25
3 3 1, 49.24, 1.851, 20
2 6 -2, 63.80, 1.459, 20

a b c (Å): 6.827 10.640 7.619
angles (deg): 90.00 91.03 90.00
Space group C2/c (No. 15)
Asymmetric unit:
Nd1 0.232 0.174 0.174 x8
Re1 0.000 0.085 0.750 x4
Re2 0.102 0.408 0.412 x8
B1 0.105 0.046 0.466 x8
B2 0.128 0.213 0.520 x8
B3 0.198 0.454 0.132 x8


Record 8
# NdB4Rh8
Theoretical powder X-ray diffraction pattern, CuKα. Input: the GGA-PBE geometry in Alexandria.
Intensities are scaled so that the largest is 100.

Main lines, sorted by position (10 to 90 degrees two-theta):
index, 2θ (°), d_spacing, I/Imax
2 0 0, 21.60, 4.113, 27
2 2 0, 30.74, 2.909, 41
0 0 2, 36.62, 2.454, 63
3 0 1, 37.57, 2.394, 51
3 2 1, 43.75, 2.069, 100
4 0 0, 44.03, 2.057, 35
2 2 2, 48.54, 1.876, 29
4 0 2, 58.56, 1.576, 25
3 2 3, 70.87, 1.330, 23
6 3 1, 80.77, 1.190, 34

a b c (Å): 8.227 8.227 4.908
angles (deg): 90.00 90.00 90.00
Space group I4/mmm (No. 139)
Asymmetric unit:
Nd1 0.000 0.000 0.000 x2
B1 0.250 0.250 0.250 x8
Rh1 0.000 0.226 0.500 x8
Rh2 0.000 0.335 0.000 x8